(1)
Structure and theoretical powder diffraction line list of RbNaCa (a GGA-PBE-relaxed structure; Cu Kα (λ = 1.5418 Å)).
Kinematic intensities with the Lorentz-polarization factor, no thermal factor.

Structural model:
Cell lengths 20.572, 4.345, 6.954 Å; angles 90.00, 90.00, 90.00 degrees
Space group Amm2 (No. 38)
Unique sites:
Rb1 0.174 0.000 0.000 (multiplicity 4)
Na1 0.000 0.000 0.614 (multiplicity 2)
Na2 0.500 0.000 0.955 (multiplicity 2)
Ca1 0.356 0.000 0.587 (multiplicity 4)

Main lines, in order of rising 2θ (10° ≤ 2θ ≤ 90°):
d_spacing	2θ/deg	intensity	index
6.857	12.9	15	3 0 0
3.685	24.2	13	0 1 1
3.627	24.5	12	1 1 1
3.475	25.6	33	0 0 2
3.429	26.0	27	6 0 0
3.246	27.5	100	3 1 1
3.101	28.8	19	3 0 2
2.441	36.8	14	6 0 2
2.109	42.9	11	8 1 1
1.942	46.8	13	9 1 1

=====

(2)
Structure and theoretical powder diffraction line list of RbNaSrCa (a GGA-PBE-relaxed structure; Cu Kα (λ = 1.5418 Å)).
Kinematic intensities with the Lorentz-polarization factor, no thermal factor.

Structural model:
Cell lengths 9.536, 9.536, 9.536 Å; angles 90.00, 90.00, 90.00 degrees
Space group F-43m (No. 216)
Unique sites:
Rb1 0.000 0.000 0.000 (multiplicity 4)
Na1 0.250 0.250 0.750 (multiplicity 4)
Sr1 0.000 0.000 0.500 (multiplicity 4)
Ca1 0.250 0.250 0.250 (multiplicity 4)

Main lines, in order of rising 2θ (10° ≤ 2θ ≤ 90°):
d_spacing	2θ/deg	intensity	index
4.768	18.6	22	2 0 0
3.371	26.4	100	2 2 0
2.753	32.5	8	2 2 2
2.384	37.7	19	4 0 0
2.132	42.4	11	4 2 0
1.946	46.7	41	4 2 2
1.686	54.4	13	4 4 0
1.508	61.5	17	6 2 0
1.274	74.5	19	6 4 2
1.124	86.6	10	8 2 2

=====

(3)
Structure and theoretical powder diffraction line list of NaCaRu2 (a GGA-PBE-relaxed structure; Cu Kα (λ = 1.5418 Å)).
Kinematic intensities with the Lorentz-polarization factor, no thermal factor.

Structural model:
Cell lengths 4.010, 5.351, 9.253 Å; angles 101.04, 90.09, 90.00 degrees
Space group P-1 (No. 2)
Unique sites:
Na1 0.249 0.018 0.149 (multiplicity 2)
Ca1 0.251 0.445 0.767 (multiplicity 2)
Ru1 0.250 0.357 0.448 (multiplicity 2)
Ru2 0.250 0.860 0.458 (multiplicity 2)

Main lines, in order of rising 2θ (10° ≤ 2θ ≤ 90°):
d_spacing	2θ/deg	intensity	index
4.541	19.5	90	0 0 2
3.027	29.5	60	0 0 3
3.006	29.7	44	1 0 2
2.416	37.2	100	1 0 3
2.218	40.7	86	1 2 -1
2.197	41.1	87	1 -2 0
2.115	42.8	52	1 2 -2
2.061	43.9	41	-1 2 1
2.005	45.2	49	2 0 0
1.976	45.9	44	1 0 -4